Structure and calculated PXRD pattern of Li9Mn2Co5O16 (the PBE+U geometry in Alexandria; a wavelength of 1.5418 Å).

The 10 most intense peaks (2θ = 10–80°), sorted by position:
2θ/deg, Rel. int.
18.34, 100
35.64, 14
36.15, 27
37.60, 11
43.04, 29
43.83, 55
47.56, 9
57.75, 10
62.87, 15
63.36, 22

Structure:
a = 6.552 Å, b = 6.552 Å, c = 10.206 Å
α = 120.55°, β = 120.55°, γ = 52.65°
Atoms (fractional coordinates):
Li  0.000  0.000  0.000
Li  0.001  0.491  0.242
Li  0.250  0.250  0.005
Li  0.250  0.250  0.502
Li  0.491  0.001  0.242
Li  0.509  0.999  0.758
Li  0.750  0.750  0.498
Li  0.750  0.750  0.995
Li  0.999  0.509  0.758
Mn  0.000  0.000  0.500
Mn  0.500  0.500  0.000
Co  0.243  0.754  0.242
Co  0.246  0.757  0.758
Co  0.500  0.500  0.500
Co  0.754  0.243  0.242
Co  0.757  0.246  0.758
O  0.112  0.112  0.733
O  0.118  0.118  0.259
O  0.130  0.644  0.502
O  0.150  0.620  0.007
O  0.356  0.870  0.498
O  0.380  0.850  0.993
O  0.385  0.385  0.768
O  0.389  0.389  0.256
O  0.611  0.611  0.744
O  0.615  0.615  0.232
O  0.620  0.150  0.007
O  0.644  0.130  0.502
O  0.850  0.380  0.993
O  0.870  0.356  0.498
O  0.882  0.882  0.741
O  0.888  0.888  0.267